# Rb3Ac3USe8
Calculated XRD peak list, Cu Ka. Input: DFT lattice parameters and positions (PBE).
No peak broadening, texture or thermal motion is included.

The 12 most intense peaks (10 to 90 degrees two-theta), most intense first:
Position (°2θ)	d/Å	I_rel
27.0	3.297	100.0
10.9	8.134	61.7
39.9	2.262	37.8
37.4	2.407	34.4
34.4	2.604	20.7
48.8	1.865	19.2
64.8	1.439	16.1
23.0	3.868	15.1
41.4	2.179	15.1
47.1	1.931	13.8
23.9	3.730	12.8
61.3	1.512	11.6

Structural model:
```
data_Rb3Ac3USe8
_chemical_formula_sum 'Rb9 Ac9 U3 Se24'
_symmetry_space_group_name_H-M 'R -3 m'
_symmetry_Int_Tables_number 166
_symmetry_space_group_name_Hall '-R 3 2"'
_cell_length_a 9.0477
_cell_length_b 9.0477
_cell_length_c 24.4018
_cell_angle_alpha 90.00
_cell_angle_beta 90.00
_cell_angle_gamma 120.00
loop_
_atom_site_label
_atom_site_type_symbol
_atom_site_fract_x
_atom_site_fract_y
_atom_site_fract_z
Rb1 Rb 0.0000 0.5000 0.0000
Ac1 Ac 0.0000 0.5000 0.5000
U1 U 0.0000 0.0000 0.5000
Se1 Se 0.0000 0.0000 0.2362
Se2 Se 0.0243 0.5122 0.2308
```


# Rb3Ac3YTe8
Calculated XRD peak list, Cu Ka. Input: DFT lattice parameters and positions (PBE).
No peak broadening, texture or thermal motion is included.

The 12 most intense peaks (10 to 90 degrees two-theta), most intense first:
Position (°2θ)	d/Å	I_rel
25.5	3.495	100.0
10.1	8.752	42.1
37.7	2.384	37.5
34.9	2.569	35.2
46.1	1.970	19.6
32.2	2.776	17.7
61.0	1.519	16.5
52.3	1.748	13.6
57.1	1.612	11.5
43.8	2.066	11.3
66.2	1.411	11.0
39.2	2.300	10.2

Structural model:
```
data_Rb3Ac3YTe8
_chemical_formula_sum 'Rb6 Ac6 Y2 Te16'
_symmetry_space_group_name_H-M 'C 1 2/m 1'
_symmetry_Int_Tables_number 12
_symmetry_space_group_name_Hall '-C 2y'
_cell_length_a 16.531
_cell_length_b 9.530
_cell_length_c 10.345
_cell_angle_alpha 90.00
_cell_angle_beta 122.23
_cell_angle_gamma 90.00
loop_
_atom_site_label
_atom_site_type_symbol
_atom_site_fract_x
_atom_site_fract_y
_atom_site_fract_z
Rb1 Rb 0.000 0.000 0.000
Rb2 Rb 0.250 0.250 0.000
Ac1 Ac 0.000 0.500 0.500
Ac2 Ac 0.250 0.250 0.500
Y1 Y 0.000 0.000 0.500
Te1 Te 0.012 0.236 0.299
Te2 Te 0.224 0.000 0.701
Te3 Te 0.238 0.500 0.715
```